The following is a calculated XRD peak list of MgTcPH. It was derived from the GGA-PBE geometry in Alexandria, using Cu Kα X-rays.
Intensities are scaled so that the largest is 100.

```
4
Lattice="5.2755 -1.5682 0.0000 5.2755 1.5682 0.0000 -0.6051 0.0000 2.9934" Properties=species:S:1:pos:R:3 pbc="T T T"
Mg 0.0000 0.0000 0.0000
Tc 2.8297 0.0000 0.7549
P 6.7309 0.0000 2.0302
H 3.5700 0.0000 2.4741
```

The 6 most intense peaks (2θ = 10–90°), sorted by position:
| 2θ/deg | Rel. int. |
| --- | --- |
| 17.15 | 100 |
| 29.79 | 52 |
| 37.58 | 30 |
| 38.82 | 61 |
| 41.36 | 92 |
| 53.05 | 29 |